Starting from a DFT-relaxed cell (PBE, Alexandria), the powder X-ray diffraction pattern of Ce6Zn2Sn was calculated for CuKα.

Cell and atoms:
a = 8.9624 Å, b = 8.9624 Å, c = 2.9796 Å
α = 90.00°, β = 90.00°, γ = 120.00°
Space group P6/mmm (No. 191)
Asymmetric unit:
Ce: 0.0000 0.3463 0.0000 [6 per cell]
Zn: 0.3333 0.6667 0.5000 [2 per cell]
Sn: 0.0000 0.0000 0.5000 [1 per cell]

Largest 10 diffraction maxima, sorted by position, 10° ≤ 2θ ≤ 90°:
(hkl)  two_theta  d_spacing  Rel. int.
0 0 1  29.99  2.980  14
3 0 0  34.67  2.587  100
1 1 1  36.20  2.481  70
3 0 1  46.49  1.954  23
2 2 1  51.00  1.791  25
3 3 0  62.14  1.494  17
4 1 1  63.14  1.472  26
6 0 0  73.16  1.294  10
3 0 2  73.33  1.291  22
5 2 1  84.45  1.147  11

***

Starting from a DFT-relaxed cell (PBE, Alexandria), the powder X-ray diffraction pattern of Ce3ZrSn5 was calculated for CuKα.

Cell and atoms:
a = 9.3622 Å, b = 9.3622 Å, c = 6.2999 Å
α = 90.00°, β = 90.00°, γ = 120.00°
Space group P6_3/mcm (No. 193)
Asymmetric unit:
Ce: 0.0000 0.3831 0.2500 [6 per cell]
Zr: 0.0000 0.0000 0.0000 [2 per cell]
Sn: 0.0000 0.2721 0.7500 [6 per cell]
Sn: 0.3333 0.6667 0.0000 [4 per cell]

Largest 10 diffraction maxima, sorted by position, 10° ≤ 2θ ≤ 90°:
(hkl)  two_theta  d_spacing  Rel. int.
0 0 2  28.33  3.150  12
2 1 1  32.49  2.756  63
3 0 0  33.15  2.703  88
1 1 2  34.31  2.613  100
3 1 1  42.69  2.118  20
2 2 2  48.45  1.879  27
2 1 3  52.85  1.732  16
4 1 2  59.97  1.543  18
4 2 1  62.37  1.489  14
3 0 4  69.02  1.361  22

***

Starting from a DFT-relaxed cell (PBE, Alexandria), the powder X-ray diffraction pattern of Sr3CeTe4 was calculated for CuKα.

Cell and atoms:
a = 9.4100 Å, b = 13.2704 Å, c = 4.6648 Å
α = 90.00°, β = 90.00°, γ = 90.00°
Space group Cmmm (No. 65)
Asymmetric unit:
Sr: 0.0000 0.0000 0.0000 [2 per cell]
Sr: 0.2500 0.2500 0.5000 [4 per cell]
Ce: 0.0000 0.5000 0.0000 [2 per cell]
Te: 0.0000 0.2539 0.0000 [4 per cell]
Te: 0.2436 0.5000 0.5000 [4 per cell]

Largest 10 diffraction maxima, sorted by position, 10° ≤ 2θ ≤ 90°:
(hkl)  two_theta  d_spacing  Rel. int.
2 0 1  26.90  3.314  100
4 0 0  38.26  2.353  13
2 4 1  38.40  2.344  51
0 0 2  38.60  2.332  13
4 4 0  47.37  1.919  14
0 4 2  47.66  1.908  14
4 0 2  55.45  1.657  13
4 4 2  62.66  1.483  24
6 4 1  69.28  1.356  13
2 4 3  69.71  1.349  9

***

Starting from a DFT-relaxed cell (PBE, Alexandria), the powder X-ray diffraction pattern of Tb3Ce was calculated for CuKα.

Cell and atoms:
a = 5.0122 Å, b = 5.0122 Å, c = 5.0122 Å
α = 90.00°, β = 90.00°, γ = 90.00°
Space group Pm-3m (No. 221)
Asymmetric unit:
Tb: 0.0000 0.0000 0.5000 [3 per cell]
Ce: 0.5000 0.5000 0.5000 [1 per cell]

Largest 8 diffraction maxima, sorted by position, 10° ≤ 2θ ≤ 90°:
(hkl)  two_theta  d_spacing  Rel. int.
1 1 1  30.90  2.894  100
2 0 0  35.83  2.506  51
2 2 0  51.58  1.772  36
3 1 1  61.34  1.511  43
2 2 2  64.39  1.447  12
4 0 0  75.94  1.253  6
3 3 1  84.20  1.150  18
4 2 0  86.92  1.121  17

***

Starting from a DFT-relaxed cell (PBE, Alexandria), the powder X-ray diffraction pattern of Tb8Ce was calculated for CuKα.

Cell and atoms:
a = 10.6630 Å, b = 10.6630 Å, c = 5.0393 Å
α = 90.00°, β = 90.00°, γ = 90.00°
Space group I4/mmm (No. 139)
Asymmetric unit:
Tb: 0.0000 0.3325 0.0000 [8 per cell]
Tb: 0.1652 0.1652 0.5000 [8 per cell]
Ce: 0.0000 0.0000 0.0000 [2 per cell]

Largest 10 diffraction maxima, sorted by position, 10° ≤ 2θ ≤ 90°:
(hkl)  two_theta  d_spacing  Rel. int.
3 0 1  30.78  2.905  100
3 3 0  35.69  2.515  51
6 0 0  51.37  1.779  36
3 0 3  61.01  1.519  14
6 3 1  61.13  1.516  28
6 0 2  64.12  1.452  12
6 3 3  83.78  1.155  12
9 0 1  83.89  1.153  6
3 3 4  86.39  1.126  6
9 3 0  86.58  1.124  11

***

Starting from a DFT-relaxed cell (PBE, Alexandria), the powder X-ray diffraction pattern of TbCe3 was calculated for CuKα.

Cell and atoms:
a = 4.8362 Å, b = 4.8362 Å, c = 4.8362 Å
α = 90.00°, β = 90.00°, γ = 90.00°
Space group Pm-3m (No. 221)
Asymmetric unit:
Tb: 0.0000 0.0000 0.0000 [1 per cell]
Ce: 0.0000 0.5000 0.5000 [3 per cell]

Largest 7 diffraction maxima, sorted by position, 10° ≤ 2θ ≤ 90°:
(hkl)  two_theta  d_spacing  Rel. int.
1 1 1  32.06  2.792  100
2 0 0  37.18  2.418  50
2 2 0  53.60  1.710  35
3 1 1  63.83  1.458  41
2 2 2  67.04  1.396  12
4 0 0  79.23  1.209  6
3 3 1  88.03  1.110  18

***

Starting from a DFT-relaxed cell (PBE, Alexandria), the powder X-ray diffraction pattern of Tb3Ce was calculated for CuKα.

Cell and atoms:
a = 3.5850 Å, b = 11.4451 Å, c = 6.2193 Å
α = 90.00°, β = 90.00°, γ = 90.00°
Space group Imm2 (No. 44)
Asymmetric unit:
Tb: 0.0000 0.0000 0.0000 [2 per cell]
Tb: 0.0000 0.2497 0.6697 [4 per cell]
Ce: 0.0000 0.5000 0.0065 [2 per cell]

Largest 10 diffraction maxima, sorted by position, 10° ≤ 2θ ≤ 90°:
(hkl)  two_theta  d_spacing  Rel. int.
1 0 1  28.73  3.107  24
0 4 0  31.26  2.861  25
1 2 1  32.80  2.731  100
1 4 1  42.97  2.105  16
2 0 0  50.90  1.794  19
1 6 1  56.62  1.626  21
2 4 0  60.96  1.520  23
2 2 2  61.89  1.499  16
2 2 4  84.12  1.151  9
2 8 0  87.14  1.119  9

***

Starting from a DFT-relaxed cell (PBE, Alexandria), the powder X-ray diffraction pattern of TbCeTc was calculated for CuKα.

Cell and atoms:
a = 11.4147 Å, b = 4.1848 Å, c = 7.5024 Å
α = 90.00°, β = 122.35°, γ = 90.00°
Space group C2/m (No. 12)
Asymmetric unit:
Tb: 0.0933 0.0000 0.3775 [4 per cell]
Ce: 0.1612 0.5000 0.0503 [4 per cell]
Tc: 0.1259 0.5000 0.7161 [4 per cell]

Largest 10 diffraction maxima, sorted by position, 10° ≤ 2θ ≤ 90°:
(hkl)  two_theta  d_spacing  Rel. int.
1 1 1  29.66  3.012  73
3 1 -1  31.80  2.814  100
1 1 -2  32.58  2.748  30
3 1 -2  34.55  2.596  18
3 1 0  35.21  2.549  26
2 0 -3  36.15  2.485  31
4 0 0  37.30  2.411  29
1 1 2  40.59  2.222  20
0 2 0  43.24  2.092  35
2 2 -3  57.59  1.600  16

***

Starting from a DFT-relaxed cell (PBE, Alexandria), the powder X-ray diffraction pattern of Tb2CeTe was calculated for CuKα.

Cell and atoms:
a = 3.8277 Å, b = 3.8277 Å, c = 30.0048 Å
α = 90.00°, β = 90.00°, γ = 120.00°
Space group R-3m (No. 166, hexagonal axes)
Asymmetric unit:
Tb: 0.0000 0.0000 0.2386 [6 per cell]
Ce: 0.0000 0.0000 0.0000 [3 per cell]
Te: 0.0000 0.0000 0.5000 [3 per cell]

Largest 10 diffraction maxima, sorted by position, 10° ≤ 2θ ≤ 90°:
(hkl)  two_theta  d_spacing  Rel. int.
1 0 4  29.46  3.032  100
0 0 12  35.92  2.500  14
0 1 8  36.16  2.484  51
1 1 0  47.51  1.914  28
1 0 16  56.37  1.632  8
0 2 4  56.89  1.618  16
1 1 12  60.96  1.520  17
2 0 8  61.13  1.516  11
2 1 4  77.19  1.236  13
1 2 8  80.89  1.188  10

***

Starting from a DFT-relaxed cell (PBE, Alexandria), the powder X-ray diffraction pattern of Tb3CeTe4 was calculated for CuKα.

Cell and atoms:
a = 4.3386 Å, b = 4.3386 Å, c = 29.6647 Å
α = 90.00°, β = 90.00°, γ = 120.00°
Space group P6_3/mmc (No. 194)
Asymmetric unit:
Tb: 0.0000 0.0000 0.0000 [2 per cell]
Tb: 0.3333 0.6667 0.1225 [4 per cell]
Ce: 0.3333 0.6667 0.7500 [2 per cell]
Te: 0.0000 0.0000 0.1829 [4 per cell]
Te: 0.3333 0.6667 0.5610 [4 per cell]

Largest 10 diffraction maxima, sorted by position, 10° ≤ 2θ ≤ 90°:
(hkl)  two_theta  d_spacing  Rel. int.
1 0 4  26.60  3.352  20
1 0 5  28.11  3.174  100
1 0 6  29.87  2.991  95
1 0 10  38.67  2.328  29
1 0 11  41.20  2.191  41
1 1 0  41.63  2.169  85
2 0 5  50.99  1.791  19
2 0 6  52.08  1.756  20
1 1 16  66.32  1.409  40
2 1 6  68.78  1.365  17

***

Starting from a DFT-relaxed cell (PBE, Alexandria), the powder X-ray diffraction pattern of Tb3Ce2Te6 was calculated for CuKα.

Cell and atoms:
a = 7.6017 Å, b = 13.1565 Å, c = 7.6916 Å
α = 90.00°, β = 109.36°, γ = 90.00°
Space group C2/m (No. 12)
Asymmetric unit:
Tb: 0.0000 0.0000 0.0000 [2 per cell]
Tb: 0.0000 0.3304 0.0000 [4 per cell]
Ce: 0.0000 0.1651 0.5000 [4 per cell]
Te: 0.2384 0.5000 0.2455 [4 per cell]
Te: 0.2451 0.3384 0.7518 [8 per cell]

Largest 10 diffraction maxima, sorted by position, 10° ≤ 2θ ≤ 90°:
(hkl)  two_theta  d_spacing  Rel. int.
2 0 -2  28.65  3.115  100
1 3 -3  40.79  2.212  38
0 6 0  41.15  2.194  37
0 0 4  50.30  1.814  7
4 0 0  50.91  1.794  20
2 6 2  59.37  1.557  8
3 3 -5  66.90  1.399  12
4 6 0  67.48  1.388  11
2 0 -6  74.00  1.281  7
4 6 -4  74.72  1.270  8

***

Starting from a DFT-relaxed cell (PBE, Alexandria), the powder X-ray diffraction pattern of Tb2CeTe4 was calculated for CuKα.

Cell and atoms:
a = 4.3418 Å, b = 14.3978 Å, c = 15.0182 Å
α = 90.00°, β = 90.00°, γ = 90.00°
Space group Cmcm (No. 63)
Asymmetric unit:
Tb: 0.0000 0.1321 0.0659 [8 per cell]
Ce: 0.0000 0.3787 0.2500 [4 per cell]
Te: 0.0000 0.0429 0.2500 [4 per cell]
Te: 0.0000 0.2254 0.6218 [8 per cell]
Te: 0.0000 0.5000 0.0000 [4 per cell]

Largest 10 diffraction maxima, sorted by position, 10° ≤ 2θ ≤ 90°:
(hkl)  two_theta  d_spacing  Rel. int.
0 2 3  21.62  4.110  51
0 2 4  26.78  3.329  68
1 3 1  28.35  3.148  95
1 3 2  30.20  2.959  100
1 1 5  36.92  2.435  62
1 5 2  39.42  2.286  33
2 0 0  41.60  2.171  42
0 6 3  41.74  2.164  77
2 6 3  60.40  1.533  30
1 7 8  71.41  1.321  31